Starting from a crystal structure in the Materials Project, relaxed with GGA-PBE, the powder X-ray diffraction pattern of La5S7 was computed for Cu Kα, 1.54184 Å.
Kinematic intensities with the Lorentz-polarization factor, no thermal factor.

Atomic structure:
a b c (Å): 10.995 10.995 5.421
angles (deg): 90.13 90.13 89.92
Fractional positions:
1 La 0.000 0.000 0.000
2 La 0.018 0.310 0.489
3 La 0.173 0.667 0.203
4 La 0.310 0.018 0.489
5 La 0.331 0.331 0.995
6 La 0.490 0.838 0.986
7 La 0.503 0.503 0.490
8 La 0.667 0.173 0.203
9 La 0.833 0.833 0.489
10 La 0.838 0.490 0.986
11 S 0.080 0.876 0.498
12 S 0.088 0.443 0.995
13 S 0.240 0.898 0.997
14 S 0.248 0.449 0.489
15 S 0.398 0.594 0.992
16 S 0.443 0.088 0.995
17 S 0.449 0.248 0.489
18 S 0.466 0.790 0.486
19 S 0.594 0.398 0.992
20 S 0.728 0.931 0.018
21 S 0.790 0.466 0.486
22 S 0.876 0.080 0.498
23 S 0.898 0.240 0.997
24 S 0.931 0.728 0.018

Main lines, low angle first (5 to 70 degrees two-theta):
| 2θ (°) | I (rel.) |
| --- | --- |
| 24.44 | 100 |
| 25.62 | 66 |
| 36.56 | 26 |
| 36.97 | 30 |
| 37.59 | 72 |
| 48.64 | 25 |